Zn2PdAu: calculated powder diffraction line list (CuKα), based on a DFT-relaxed cell (PBE, the Materials Project).

a b c (Å): 3.157 3.157 6.170
angles (deg): 90.00 90.00 90.00
Space group P4/mmm (No. 123)
Symmetry-distinct sites (fractional):
Zn: 0.000 0.000 0.237
Pd: 0.500 0.500 0.000
Au: 0.500 0.500 0.500

Peak list (12 most intense, 2θ from 10° to 90°, in order of rising 2θ)
| 2θ/deg | d (Å) | intensity |
| --- | --- | --- |
| 14.36 | 6.170 | 8 |
| 28.27 | 3.157 | 18 |
| 28.94 | 3.085 | 9 |
| 31.84 | 2.811 | 10 |
| 40.40 | 2.233 | 52 |
| 40.90 | 2.206 | 100 |
| 50.46 | 1.809 | 8 |
| 58.46 | 1.579 | 17 |
| 59.97 | 1.542 | 8 |
| 73.81 | 1.284 | 34 |
| 74.82 | 1.269 | 16 |
| 88.66 | 1.103 | 11 |